Entry 1:
Theoretical powder XRD pattern of Ba8Sc3Pt4O18 for λ = 1.5418 Å (Cu Kα), from DFT lattice parameters and positions (GGA-PBE).
Intensities are scaled so that the largest is 100.

Largest 6 diffraction maxima, low angle first, 2θ = 10–90°:
2θ (°)	I_rel
18.6	26.5
30.5	100.0
43.7	26.6
54.3	38.3
63.6	16.1
88.4	18.9

Cell and atoms:
```
data_Ba8Sc3Pt4O18
_chemical_formula_sum 'Ba8 Sc3 Pt4 O18'
_cell_length_a 8.277
_cell_length_b 8.277
_cell_length_c 8.277
_cell_angle_alpha 90.00
_cell_angle_beta 90.00
_cell_angle_gamma 90.00
_space_group_name_H-M_alt 'P 1'
_space_group_IT_number 1
loop_
_space_group_symop_operation_xyz
'x,y,z'
loop_
_atom_site_label
_atom_site_fract_x
_atom_site_fract_y
_atom_site_fract_z
_atom_site_occupancy
Ba1 0.239 0.239 0.239 1
Ba2 0.239 0.239 0.761 1
Ba3 0.239 0.761 0.239 1
Ba4 0.239 0.761 0.761 1
Ba5 0.761 0.239 0.239 1
Ba6 0.761 0.239 0.761 1
Ba7 0.761 0.761 0.239 1
Ba8 0.761 0.761 0.761 1
Sc1 0.000 0.000 0.500 1
Sc2 0.000 0.500 0.000 1
Sc3 0.500 0.000 0.000 1
Pt1 0.000 0.000 0.000 1
Pt2 0.000 0.500 0.500 1
Pt3 0.500 0.000 0.500 1
Pt4 0.500 0.500 0.000 1
O1 0.000 0.000 0.245 1
O2 0.000 0.000 0.755 1
O3 0.000 0.245 0.000 1
O4 0.000 0.255 0.500 1
O5 0.000 0.500 0.255 1
O6 0.000 0.500 0.745 1
O7 0.000 0.745 0.500 1
O8 0.000 0.755 0.000 1
O9 0.245 0.000 0.000 1
O10 0.255 0.000 0.500 1
O11 0.255 0.500 0.000 1
O12 0.500 0.000 0.255 1
O13 0.500 0.000 0.745 1
O14 0.500 0.255 0.000 1
O15 0.500 0.745 0.000 1
O16 0.745 0.000 0.500 1
O17 0.745 0.500 0.000 1
O18 0.755 0.000 0.000 1
```

Entry 2:
Theoretical powder XRD pattern of LaDy9Ho2 for λ = 1.5418 Å (Cu Kα), from DFT lattice parameters and positions (GGA-PBE).
Intensities are scaled so that the largest is 100.

Largest 6 diffraction maxima, low angle first, 2θ = 10–90°:
2θ (°)	I_rel
30.8	100.0
35.7	50.6
51.3	35.9
61.1	42.6
64.1	12.3
83.8	17.6

Cell and atoms:
```
data_LaDy9Ho2
_chemical_formula_sum 'La1 Dy9 Ho2'
_cell_length_a 5.030
_cell_length_b 5.030
_cell_length_c 15.118
_cell_angle_alpha 90.00
_cell_angle_beta 90.00
_cell_angle_gamma 90.00
_space_group_name_H-M_alt 'P 1'
_space_group_IT_number 1
loop_
_space_group_symop_operation_xyz
'x,y,z'
loop_
_atom_site_label
_atom_site_fract_x
_atom_site_fract_y
_atom_site_fract_z
_atom_site_occupancy
La1 0.000 0.000 0.000 1
Dy1 0.000 0.500 0.171 1
Dy2 0.000 0.500 0.500 1
Dy3 0.000 0.500 0.829 1
Dy4 0.500 0.000 0.171 1
Dy5 0.500 0.000 0.500 1
Dy6 0.500 0.000 0.829 1
Dy7 0.500 0.500 0.000 1
Dy8 0.500 0.500 0.336 1
Dy9 0.500 0.500 0.664 1
Ho1 0.000 0.000 0.335 1
Ho2 0.000 0.000 0.665 1
```

Entry 3:
Theoretical powder XRD pattern of V12GeAu3 for λ = 1.5418 Å (Cu Kα), from DFT lattice parameters and positions (GGA-PBE).
Intensities are scaled so that the largest is 100.

Largest 6 diffraction maxima, low angle first, 2θ = 10–90°:
2θ (°)	I_rel
26.0	64.6
37.1	45.8
41.7	29.6
45.9	100.0
73.0	32.7
73.1	16.5

Cell and atoms:
```
data_V12GeAu3
_chemical_formula_sum 'V12 Ge1 Au3'
_cell_length_a 4.843
_cell_length_b 4.853
_cell_length_c 9.682
_cell_angle_alpha 90.00
_cell_angle_beta 90.00
_cell_angle_gamma 90.00
_space_group_name_H-M_alt 'P 1'
_space_group_IT_number 1
loop_
_space_group_symop_operation_xyz
'x,y,z'
loop_
_atom_site_label
_atom_site_fract_x
_atom_site_fract_y
_atom_site_fract_z
_atom_site_occupancy
V1 0.000 0.000 0.122 1
V2 0.000 0.000 0.374 1
V3 0.000 0.000 0.626 1
V4 0.000 0.000 0.878 1
V5 0.248 0.500 0.000 1
V6 0.257 0.500 0.500 1
V7 0.500 0.248 0.258 1
V8 0.500 0.248 0.742 1
V9 0.500 0.752 0.258 1
V10 0.500 0.752 0.742 1
V11 0.743 0.500 0.500 1
V12 0.752 0.500 0.000 1
Ge1 0.500 0.000 0.500 1
Au1 0.000 0.500 0.249 1
Au2 0.000 0.500 0.751 1
Au3 0.500 0.000 0.000 1
```

Entry 4:
Theoretical powder XRD pattern of Sr6Br7 for λ = 1.5418 Å (Cu Kα), from DFT lattice parameters and positions (GGA-PBE).
Intensities are scaled so that the largest is 100.

Largest 6 diffraction maxima, low angle first, 2θ = 10–90°:
2θ (°)	I_rel
24.6	52.1
28.6	44.9
29.3	34.2
34.0	100.0
35.6	67.5
50.4	43.8

Cell and atoms:
```
data_Sr6Br7
_chemical_formula_sum 'Sr6 Br7'
_cell_length_a 12.092
_cell_length_b 12.092
_cell_length_c 12.092
_cell_angle_alpha 34.83
_cell_angle_beta 34.83
_cell_angle_gamma 34.83
_space_group_name_H-M_alt 'P 1'
_space_group_IT_number 1
loop_
_space_group_symop_operation_xyz
'x,y,z'
loop_
_atom_site_label
_atom_site_fract_x
_atom_site_fract_y
_atom_site_fract_z
_atom_site_occupancy
Sr1 0.068 0.068 0.068 1
Sr2 0.196 0.196 0.196 1
Sr3 0.333 0.333 0.333 1
Sr4 0.667 0.667 0.667 1
Sr5 0.804 0.804 0.804 1
Sr6 0.932 0.932 0.932 1
Br1 0.065 0.566 0.566 1
Br2 0.434 0.434 0.935 1
Br3 0.434 0.935 0.434 1
Br4 0.500 0.500 0.500 1
Br5 0.566 0.065 0.566 1
Br6 0.566 0.566 0.065 1
Br7 0.935 0.434 0.434 1
```

Entry 5:
Theoretical powder XRD pattern of PmZnNi3 for λ = 1.5418 Å (Cu Kα), from DFT lattice parameters and positions (GGA-PBE).
Intensities are scaled so that the largest is 100.

Largest 6 diffraction maxima, low angle first, 2θ = 10–90°:
2θ (°)	I_rel
30.4	50.4
30.5	100.0
43.0	44.4
43.1	40.8
43.8	54.9
44.3	43.5

Cell and atoms:
```
data_PmZnNi3
_chemical_formula_sum 'Pm2 Zn2 Ni6'
_cell_length_a 6.300
_cell_length_b 6.300
_cell_length_c 6.300
_cell_angle_alpha 134.34
_cell_angle_beta 99.12
_cell_angle_gamma 98.20
_space_group_name_H-M_alt 'P 1'
_space_group_IT_number 1
loop_
_space_group_symop_operation_xyz
'x,y,z'
loop_
_atom_site_label
_atom_site_fract_x
_atom_site_fract_y
_atom_site_fract_z
_atom_site_occupancy
Pm1 0.297 0.047 0.250 1
Pm2 0.703 0.953 0.750 1
Zn1 0.000 0.500 0.500 1
Zn2 0.500 0.500 0.000 1
Ni1 0.067 0.317 0.750 1
Ni2 0.242 0.000 0.742 1
Ni3 0.242 0.500 0.242 1
Ni4 0.758 0.000 0.258 1
Ni5 0.758 0.500 0.758 1
Ni6 0.933 0.683 0.250 1
```

Entry 6:
Theoretical powder XRD pattern of Na7Cu3O8 for λ = 1.5418 Å (Cu Kα), from DFT lattice parameters and positions (GGA-PBE).
Intensities are scaled so that the largest is 100.

Largest 6 diffraction maxima, low angle first, 2θ = 10–90°:
2θ (°)	I_rel
16.0	44.7
24.1	100.0
33.3	25.6
43.6	21.6
45.6	23.1
48.7	20.8

Cell and atoms:
```
data_Na7Cu3O8
_chemical_formula_sum 'Na7 Cu3 O8'
_cell_length_a 5.643
_cell_length_b 6.146
_cell_length_c 7.967
_cell_angle_alpha 70.08
_cell_angle_beta 71.62
_cell_angle_gamma 89.77
_space_group_name_H-M_alt 'P 1'
_space_group_IT_number 1
loop_
_space_group_symop_operation_xyz
'x,y,z'
loop_
_atom_site_label
_atom_site_fract_x
_atom_site_fract_y
_atom_site_fract_z
_atom_site_occupancy
Na1 0.000 0.000 0.000 1
Na2 0.254 0.367 0.557 1
Na3 0.282 0.391 0.117 1
Na4 0.379 0.840 0.211 1
Na5 0.621 0.160 0.789 1
Na6 0.718 0.609 0.883 1
Na7 0.746 0.633 0.443 1
Cu1 0.000 0.000 0.500 1
Cu2 0.256 0.750 0.739 1
Cu3 0.744 0.250 0.261 1
O1 0.038 0.990 0.723 1
O2 0.130 0.718 0.552 1
O3 0.350 0.808 0.922 1
O4 0.432 0.500 0.747 1
O5 0.568 0.500 0.253 1
O6 0.650 0.192 0.078 1
O7 0.870 0.282 0.448 1
O8 0.962 0.010 0.277 1
```

Entry 7:
Theoretical powder XRD pattern of Sc3Tl6I14 for λ = 1.5418 Å (Cu Kα), from DFT lattice parameters and positions (GGA-PBE).
Intensities are scaled so that the largest is 100.

Largest 6 diffraction maxima, low angle first, 2θ = 10–90°:
2θ (°)	I_rel
24.6	93.5
25.5	65.8
27.2	93.8
29.2	70.8
29.3	64.1
31.8	100.0

Cell and atoms:
```
data_Sc3Tl6I14
_chemical_formula_sum 'Sc3 Tl6 I14'
_cell_length_a 12.672
_cell_length_b 12.672
_cell_length_c 7.379
_cell_angle_alpha 90.00
_cell_angle_beta 90.00
_cell_angle_gamma 120.00
_space_group_name_H-M_alt 'P 1'
_space_group_IT_number 1
loop_
_space_group_symop_operation_xyz
'x,y,z'
loop_
_atom_site_label
_atom_site_fract_x
_atom_site_fract_y
_atom_site_fract_z
_atom_site_occupancy
Sc1 0.000 0.000 0.000 1
Sc2 0.333 0.667 0.506 1
Sc3 0.667 0.333 0.372 1
Tl1 0.022 0.556 0.108 1
Tl2 0.308 0.105 0.578 1
Tl3 0.444 0.466 0.108 1
Tl4 0.534 0.978 0.108 1
Tl5 0.798 0.692 0.578 1
Tl6 0.895 0.202 0.578 1
I1 0.000 0.000 0.374 1
I2 0.082 0.850 0.867 1
I3 0.150 0.231 0.867 1
I4 0.190 0.435 0.367 1
I5 0.245 0.810 0.367 1
I6 0.333 0.667 0.879 1
I7 0.445 0.196 0.145 1
I8 0.526 0.415 0.591 1
I9 0.565 0.755 0.367 1
I10 0.585 0.111 0.591 1
I11 0.750 0.555 0.145 1
I12 0.769 0.918 0.867 1
I13 0.804 0.250 0.145 1
I14 0.889 0.474 0.591 1
```

Entry 8:
Theoretical powder XRD pattern of Li13Zn3 for λ = 1.5418 Å (Cu Kα), from DFT lattice parameters and positions (GGA-PBE).
Intensities are scaled so that the largest is 100.

Largest 6 diffraction maxima, low angle first, 2θ = 10–90°:
2θ (°)	I_rel
14.9	100.0
18.8	20.6
21.0	35.6
27.3	35.2
31.3	25.7
38.0	60.3

Cell and atoms:
```
data_Li13Zn3
_chemical_formula_sum 'Li13 Zn3'
_cell_length_a 7.825
_cell_length_b 5.942
_cell_length_c 5.942
_cell_angle_alpha 90.84
_cell_angle_beta 90.00
_cell_angle_gamma 90.00
_space_group_name_H-M_alt 'P 1'
_space_group_IT_number 1
loop_
_space_group_symop_operation_xyz
'x,y,z'
loop_
_atom_site_label
_atom_site_fract_x
_atom_site_fract_y
_atom_site_fract_z
_atom_site_occupancy
Li1 0.000 0.000 0.000 1
Li2 0.000 0.003 0.474 1
Li3 0.000 0.474 0.003 1
Li4 0.000 0.476 0.476 1
Li5 0.256 0.235 0.744 1
Li6 0.256 0.744 0.235 1
Li7 0.259 0.749 0.749 1
Li8 0.500 0.470 0.470 1
Li9 0.500 0.480 0.998 1
Li10 0.500 0.998 0.480 1
Li11 0.741 0.749 0.749 1
Li12 0.744 0.235 0.744 1
Li13 0.744 0.744 0.235 1
Zn1 0.252 0.232 0.232 1
Zn2 0.500 0.003 0.003 1
Zn3 0.748 0.232 0.232 1
```

Entry 9:
Theoretical powder XRD pattern of ThPaSn2 for λ = 1.5418 Å (Cu Kα), from DFT lattice parameters and positions (GGA-PBE).
Intensities are scaled so that the largest is 100.

Largest 6 diffraction maxima, low angle first, 2θ = 10–90°:
2θ (°)	I_rel
32.6	100.0
36.2	37.8
40.7	13.7
52.1	13.7
55.6	22.7
62.8	31.7

Cell and atoms:
```
data_ThPaSn2
_chemical_formula_sum 'Th1 Pa1 Sn2'
_cell_length_a 4.961
_cell_length_b 4.961
_cell_length_c 4.429
_cell_angle_alpha 90.00
_cell_angle_beta 90.00
_cell_angle_gamma 90.00
_space_group_name_H-M_alt 'P 1'
_space_group_IT_number 1
loop_
_space_group_symop_operation_xyz
'x,y,z'
loop_
_atom_site_label
_atom_site_fract_x
_atom_site_fract_y
_atom_site_fract_z
_atom_site_occupancy
Th1 0.000 0.000 0.000 1
Pa1 0.500 0.500 0.000 1
Sn1 0.000 0.500 0.500 1
Sn2 0.500 0.000 0.500 1
```

Entry 10:
Theoretical powder XRD pattern of La2Sm3Pd4 for λ = 1.5418 Å (Cu Kα), from DFT lattice parameters and positions (GGA-PBE).
Intensities are scaled so that the largest is 100.

Largest 6 diffraction maxima, low angle first, 2θ = 10–90°:
2θ (°)	I_rel
30.0	72.1
31.3	82.9
33.0	100.0
34.6	89.0
36.7	75.7
36.9	43.5

Cell and atoms:
```
data_La2Sm3Pd4
_chemical_formula_sum 'La4 Sm6 Pd8'
_cell_length_a 7.705
_cell_length_b 7.743
_cell_length_c 8.273
_cell_angle_alpha 90.00
_cell_angle_beta 108.51
_cell_angle_gamma 90.00
_space_group_name_H-M_alt 'P 1'
_space_group_IT_number 1
loop_
_space_group_symop_operation_xyz
'x,y,z'
loop_
_atom_site_label
_atom_site_fract_x
_atom_site_fract_y
_atom_site_fract_z
_atom_site_occupancy
La1 0.200 0.174 0.095 1
La2 0.200 0.326 0.595 1
La3 0.800 0.674 0.405 1
La4 0.800 0.826 0.905 1
Sm1 0.242 0.662 0.251 1
Sm2 0.242 0.838 0.751 1
Sm3 0.500 0.000 0.500 1
Sm4 0.500 0.500 0.000 1
Sm5 0.758 0.162 0.249 1
Sm6 0.758 0.338 0.749 1
Pd1 0.093 0.538 0.875 1
Pd2 0.093 0.962 0.375 1
Pd3 0.499 0.631 0.624 1
Pd4 0.499 0.869 0.124 1
Pd5 0.501 0.131 0.876 1
Pd6 0.501 0.369 0.376 1
Pd7 0.907 0.038 0.625 1
Pd8 0.907 0.462 0.125 1
```

Entry 11:
Theoretical powder XRD pattern of Hf2ScAs3 for λ = 1.5418 Å (Cu Kα), from DFT lattice parameters and positions (GGA-PBE).
Intensities are scaled so that the largest is 100.

Largest 6 diffraction maxima, low angle first, 2θ = 10–90°:
2θ (°)	I_rel
26.8	39.4
30.2	30.5
38.8	100.0
47.4	42.3
62.8	20.0
77.0	20.0

Cell and atoms:
```
data_Hf2ScAs3
_chemical_formula_sum 'Hf4 Sc2 As6'
_cell_length_a 7.536
_cell_length_b 7.536
_cell_length_c 9.279
_cell_angle_alpha 106.63
_cell_angle_beta 106.63
_cell_angle_gamma 29.52
_space_group_name_H-M_alt 'P 1'
_space_group_IT_number 1
loop_
_space_group_symop_operation_xyz
'x,y,z'
loop_
_atom_site_label
_atom_site_fract_x
_atom_site_fract_y
_atom_site_fract_z
_atom_site_occupancy
Hf1 0.168 0.168 0.335 1
Hf2 0.331 0.331 0.164 1
Hf3 0.669 0.669 0.836 1
Hf4 0.832 0.832 0.665 1
Sc1 0.000 0.000 0.500 1
Sc2 0.500 0.500 0.000 1
As1 0.139 0.139 0.027 1
As2 0.194 0.194 0.639 1
As3 0.472 0.472 0.695 1
As4 0.528 0.528 0.305 1
As5 0.806 0.806 0.361 1
As6 0.861 0.861 0.973 1
```

Repeat the second record exactly.
Theoretical powder XRD pattern of LaDy9Ho2 for λ = 1.5418 Å (Cu Kα), from DFT lattice parameters and positions (GGA-PBE).
Intensities are scaled so that the largest is 100.

Largest 6 diffraction maxima, low angle first, 2θ = 10–90°:
2θ (°)	I_rel
30.8	100.0
35.7	50.6
51.3	35.9
61.1	42.6
64.1	12.3
83.8	17.6

Cell and atoms:
```
data_LaDy9Ho2
_chemical_formula_sum 'La1 Dy9 Ho2'
_cell_length_a 5.030
_cell_length_b 5.030
_cell_length_c 15.118
_cell_angle_alpha 90.00
_cell_angle_beta 90.00
_cell_angle_gamma 90.00
_space_group_name_H-M_alt 'P 1'
_space_group_IT_number 1
loop_
_space_group_symop_operation_xyz
'x,y,z'
loop_
_atom_site_label
_atom_site_fract_x
_atom_site_fract_y
_atom_site_fract_z
_atom_site_occupancy
La1 0.000 0.000 0.000 1
Dy1 0.000 0.500 0.171 1
Dy2 0.000 0.500 0.500 1
Dy3 0.000 0.500 0.829 1
Dy4 0.500 0.000 0.171 1
Dy5 0.500 0.000 0.500 1
Dy6 0.500 0.000 0.829 1
Dy7 0.500 0.500 0.000 1
Dy8 0.500 0.500 0.336 1
Dy9 0.500 0.500 0.664 1
Ho1 0.000 0.000 0.335 1
Ho2 0.000 0.000 0.665 1
```